Starting from a cell relaxed with GGA+U, the powder diffraction line list of Li2SmMnO4 was simulated for Cu Kα, 1.54184 Å.

Structural model:
a b c (Å): 5.326 5.326 6.610
angles (deg): 90.00 90.00 90.00
Fractional coordinates of all 16 atoms:
Li 0.000 0.500 0.250
Li 0.000 0.500 0.750
Li 0.500 0.000 0.250
Li 0.500 0.000 0.750
Sm 0.000 0.000 0.000
Sm 0.500 0.500 0.500
Mn 0.000 0.000 0.500
Mn 0.500 0.500 0.000
O 0.223 0.223 0.359
O 0.223 0.777 0.641
O 0.277 0.277 0.859
O 0.277 0.723 0.141
O 0.723 0.277 0.141
O 0.723 0.723 0.859
O 0.777 0.223 0.641
O 0.777 0.777 0.359

The 12 most intense peaks (5° ≤ 2θ ≤ 70°), low angle first:
2θ = 21.43°, intensity 45.5, (1 0 1)
2θ = 23.62°, intensity 100.0, (1 1 0)
2θ = 26.98°, intensity 30.1, (0 0 2)
2θ = 33.66°, intensity 23.8, (2 0 0)
2θ = 36.16°, intensity 85.3, (1 1 2)
2θ = 40.25°, intensity 26.0, (2 1 1)
2θ = 43.65°, intensity 42.6, (2 0 2)
2θ = 48.34°, intensity 26.5, (2 2 0)
2θ = 54.48°, intensity 18.5, (3 1 0)
2θ = 56.22°, intensity 15.8, (2 2 2)
2θ = 61.83°, intensity 33.7, (3 1 2)
2θ = 66.60°, intensity 18.4, (2 0 4)